Diffraction record for V5Zn2. The X-ray powder pattern is calculated, not measured: it uses DFT lattice parameters and positions (GGA-PBE) and a wavelength of 1.5418 Å.
Neutral-atom scattering factors, no anomalous dispersion.

Principal peaks in the range 5 to 70 degrees two-theta, by angle:
d [Å]	I_rel	(hkl)
10.382	3	0 0 2
3.461	1	0 0 6
2.797	2	1 0 3
2.462	5	1 0 5
2.162	55	1 1 0
2.129	100	1 0 7
2.076	1	0 0 10
1.529	17	2 0 0
1.498	1	1 1 10
1.483	6	0 0 14
1.416	1	1 0 13
1.351	1	1 1 12

Atomic structure:
```
V5Zn2
1.0
3.0573 0.0000 0.0000
0.0000 3.0573 0.0000
0.0000 0.0000 20.7633
V Zn
10 4
Cartesian
0.0000 0.0000 0.0000
0.0000 0.0000 2.7663
0.0000 0.0000 8.8752
0.0000 0.0000 11.8881
0.0000 0.0000 17.9970
1.5287 1.5287 1.5065
1.5287 1.5287 7.6154
1.5287 1.5287 10.3816
1.5287 1.5287 13.1479
1.5287 1.5287 19.2568
0.0000 0.0000 5.9545
0.0000 0.0000 14.8087
1.5287 1.5287 4.4271
1.5287 1.5287 16.3362
```

Diffraction record for ZrV3. The X-ray powder pattern is calculated, not measured: it uses DFT lattice parameters and positions (GGA-PBE) and a wavelength of 1.5418 Å.
Neutral-atom scattering factors, no anomalous dispersion.

Principal peaks in the range 5 to 70 degrees two-theta, by angle:
d [Å]	I_rel	(hkl)
3.640	8	1 1 1
3.152	4	2 0 0
2.229	100	2 2 0
1.901	4	3 1 1
1.820	1	2 2 2
1.576	16	4 0 0
1.446	2	3 3 1
1.410	2	4 2 0

Atomic structure:
```
ZrV3
1.0
6.3039 0.0000 0.0000
0.0000 6.3039 0.0000
0.0000 0.0000 6.3039
Zr V
4 12
Cartesian
0.0000 0.0000 0.0000
0.0000 3.1519 3.1519
3.1519 0.0000 3.1519
3.1519 3.1519 0.0000
0.0000 0.0000 3.1519
0.0000 3.1519 0.0000
1.5760 1.5760 1.5760
1.5760 1.5760 4.7279
1.5760 4.7279 1.5760
1.5760 4.7279 4.7279
3.1519 0.0000 0.0000
3.1519 3.1519 3.1519
4.7279 1.5760 1.5760
4.7279 1.5760 4.7279
4.7279 4.7279 1.5760
4.7279 4.7279 4.7279
```

Diffraction record for Zr5V. The X-ray powder pattern is calculated, not measured: it uses DFT lattice parameters and positions (GGA-PBE) and a wavelength of 1.5418 Å.
Neutral-atom scattering factors, no anomalous dispersion.

Principal peaks in the range 5 to 70 degrees two-theta, by angle:
d [Å]	I_rel	(hkl)
4.459	2	1 1 0
3.305	3	1 1 1
2.695	1	0 4 0
2.497	100	1 3 1
2.461	24	0 0 2
2.449	24	2 0 0
1.796	9	0 6 0
1.736	16	2 0 2
1.451	8	0 6 2
1.448	8	2 6 0
1.428	16	1 3 3
1.423	16	3 3 1

Atomic structure:
```
Zr5V
1.0
4.8975 0.0000 0.0000
0.0000 10.7783 0.0000
0.0000 0.0000 4.9229
Zr V
10 2
Cartesian
0.0000 0.0000 0.0000
0.0000 1.7128 2.4615
0.0000 3.6579 0.0000
0.0000 7.1204 0.0000
0.0000 9.0654 2.4615
2.4487 1.7313 0.0000
2.4487 3.6763 2.4615
2.4487 5.3891 0.0000
2.4487 7.1020 2.4615
2.4487 9.0470 0.0000
0.0000 5.3891 2.4615
2.4487 0.0000 2.4615
```

Diffraction record for Y3W4. The X-ray powder pattern is calculated, not measured: it uses DFT lattice parameters and positions (GGA-PBE) and a wavelength of 1.5418 Å.
Neutral-atom scattering factors, no anomalous dispersion.

Principal peaks in the range 5 to 70 degrees two-theta, by angle:
d [Å]	I_rel	(hkl)
3.568	9	1 0 1
2.934	100	1 1 0
2.541	35	2 0 0
2.532	63	1 1 1
2.266	54	2 0 1
2.247	95	1 0 2
1.784	9	2 0 2
1.694	20	3 0 0
1.605	16	3 0 1
1.524	57	2 1 2
1.467	31	2 2 0
1.451	16	1 1 3

Atomic structure:
```
Y3W4
1.0
5.8680 0.0000 0.0000
-2.9340 5.0818 0.0000
0.0000 0.0000 5.0100
Y W
3 4
Cartesian
-1.4670 2.5409 0.0000
2.9340 0.0000 0.0000
1.4670 2.5409 0.0000
0.0000 0.0000 1.2118
0.0000 0.0000 3.7982
0.0000 3.3879 2.5050
2.9340 1.6939 2.5050
```